For La8Hg4Ir3Pd, a cell relaxed with PBE gives the calculated X-ray powder pattern in this record (λ = 1.5418 Å (Cu Kα)).
Intensities are scaled so that the largest is 100.

Crystal structure
```
La8Hg4Ir3Pd
1.0
8.4054 0.0000 0.0000
4.1961 7.2956 0.0000
4.1955 2.4202 7.9581
La Hg Ir Pd
8 4 3 1
Cartesian
4.1350 2.4674 2.3626
6.2970 6.0769 2.3767
6.2968 3.7139 5.5960
8.3318 7.2491 5.5947
8.4652 2.4667 2.3634
10.5002 6.0019 2.3622
10.5001 3.6389 5.5815
12.6620 7.2484 5.5955
0.0000 0.0000 0.0000
2.0980 3.6478 0.0000
4.2027 0.0000 0.0000
6.3008 3.6478 0.0000
2.0978 1.2101 3.9791
4.1958 4.8579 3.9791
8.3985 4.8579 3.9791
6.3005 1.2101 3.9791
```

Most intense lines, 2θ = 10–90°, sorted by position:
h k l	two_theta	I (rel.)
2 2 0	28.70	100
2 2 3	30.87	6
2 2 4	39.01	36
4 2 2	42.99	36
0 0 4	45.60	6
4 0 0	52.48	13
4 4 4	52.59	6
4 4 0	59.44	11
4 2 6	64.49	8
4 6 2	70.09	10
6 4 2	70.20	5
6 2 0	76.16	5